No. 1
The following is a theoretical XRD peak list of SmTaN2O. It was derived from a crystal structure in OQMD, relaxed with PBE, using Cu Kα, 1.54184 Å.
Kinematic intensities with the Lorentz-polarization factor, no thermal factor.

Most intense lines, 10 to 90 degrees two-theta, in order of falling intensity:
2θ (°)	I_rel
31.63	100
32.22	26
31.84	26
45.93	23
57.08	21
56.60	21
66.06	15
44.75	14
56.20	11
55.96	11

Crystal structure
Unit cell a=7.903 b=8.101 c=11.113 alpha=90.00 beta=134.67 gamma=90.00
Atoms (fractional coordinates):
Sm1 0.236 0.001 0.493
Sm2 0.236 0.499 0.993
Sm3 0.238 0.501 0.495
Sm4 0.238 0.999 0.995
Sm5 0.762 0.001 0.005
Sm6 0.762 0.499 0.505
Sm7 0.764 0.501 0.007
Sm8 0.764 0.999 0.507
Ta1 0.262 0.249 0.255
Ta2 0.262 0.251 0.755
Ta3 0.262 0.750 0.258
Ta4 0.262 0.750 0.758
Ta5 0.738 0.250 0.242
Ta6 0.738 0.250 0.742
Ta7 0.738 0.749 0.245
Ta8 0.738 0.751 0.745
N1 0.207 0.000 0.226
N2 0.207 0.500 0.726
N3 0.214 0.000 0.734
N4 0.214 0.500 0.234
N5 0.434 0.249 0.685
N6 0.434 0.251 0.185
N7 0.434 0.746 0.999
N8 0.434 0.754 0.499
N9 0.566 0.246 0.501
N10 0.566 0.254 0.001
N11 0.566 0.749 0.815
N12 0.566 0.751 0.315
N13 0.786 0.000 0.266
N14 0.786 0.500 0.766
N15 0.793 0.000 0.774
N16 0.793 0.500 0.274
O1 0.079 0.250 0.330
O2 0.079 0.250 0.830
O3 0.079 0.747 0.999
O4 0.079 0.753 0.499
O5 0.921 0.247 0.501
O6 0.921 0.253 0.001
O7 0.921 0.750 0.170
O8 0.921 0.750 0.670

***

No. 2
The following is a theoretical XRD peak list of TmTcO3F. It was derived from a crystal structure in OQMD, relaxed with PBE, using Cu Kα, 1.54184 Å.
Kinematic intensities with the Lorentz-polarization factor, no thermal factor.

Most intense lines, 10 to 90 degrees two-theta, in order of falling intensity:
2θ (°)	I_rel
27.81	100
30.00	91
24.63	89
24.82	73
33.98	48
33.71	44
32.47	43
21.25	39
40.62	32
48.41	27

Crystal structure
Unit cell a=3.855 b=6.560 c=6.645 alpha=94.27 beta=102.63 gamma=106.07
Atoms (fractional coordinates):
Tm1 0.032 0.121 0.267
Tm2 0.968 0.879 0.733
Tc1 0.240 0.403 0.816
Tc2 0.760 0.597 0.184
O1 0.000 0.166 0.934
O2 0.000 0.834 0.066
O3 0.176 0.500 0.216
O4 0.228 0.181 0.610
O5 0.772 0.819 0.390
O6 0.824 0.500 0.784
F1 0.387 0.735 0.691
F2 0.613 0.265 0.309

***

No. 3
The following is a theoretical XRD peak list of DyAu2. It was derived from a crystal structure in OQMD, relaxed with PBE, using Cu Kα, 1.54184 Å.
Kinematic intensities with the Lorentz-polarization factor, no thermal factor.

Most intense lines, 10 to 90 degrees two-theta, in order of falling intensity:
2θ (°)	I_rel
38.34	100
34.08	69
63.85	46
48.97	25
72.00	16
81.89	12
82.11	12
84.42	11
71.76	8
61.26	6

Crystal structure
Unit cell a=3.720 b=3.720 c=9.079 alpha=90.00 beta=90.00 gamma=90.00
Atoms (fractional coordinates):
Dy1 0.250 0.250 0.250
Dy2 0.750 0.750 0.750
Au1 0.250 0.250 0.585
Au2 0.250 0.250 0.914
Au3 0.750 0.750 0.086
Au4 0.750 0.750 0.415

***

No. 4
The following is a theoretical XRD peak list of K2Au3. It was derived from a crystal structure in OQMD, relaxed with PBE, using Cu Kα, 1.54184 Å.
Kinematic intensities with the Lorentz-polarization factor, no thermal factor.

Most intense lines, 10 to 90 degrees two-theta, in order of falling intensity:
2θ (°)	I_rel
17.42	100
37.94	84
45.82	36
29.74	30
36.02	28
59.11	27
40.28	26
35.27	24
51.30	17
66.04	17

Crystal structure
Unit cell a=6.320 b=6.320 c=6.320 alpha=133.53 beta=127.49 gamma=72.70
Atoms (fractional coordinates):
K1 0.000 0.000 0.000
K2 0.388 0.388 0.000
Au1 0.439 0.693 0.746
Au2 0.691 0.191 0.500
Au3 0.947 0.693 0.254

***

No. 5
The following is a theoretical XRD peak list of Pm2PbO4. It was derived from a crystal structure in OQMD, relaxed with PBE, using Cu Kα, 1.54184 Å.
Kinematic intensities with the Lorentz-polarization factor, no thermal factor.

Most intense lines, 10 to 90 degrees two-theta, in order of falling intensity:
2θ (°)	I_rel
29.44	100
46.92	41
51.37	39
25.03	38
72.10	23
30.78	19
44.09	17
60.32	14
83.14	13
61.09	10

Crystal structure
Unit cell a=7.115 b=7.115 c=7.115 alpha=60.00 beta=60.00 gamma=60.00
Atoms (fractional coordinates):
Pm1 0.000 0.000 0.000
Pm2 0.000 0.000 0.500
Pm3 0.000 0.500 0.000
Pm4 0.500 0.000 0.000
Pb1 0.375 0.375 0.375
Pb2 0.625 0.625 0.625
O1 0.202 0.766 0.766
O2 0.234 0.234 0.234
O3 0.234 0.234 0.798
O4 0.234 0.798 0.234
O5 0.766 0.202 0.766
O6 0.766 0.766 0.202
O7 0.766 0.766 0.766
O8 0.798 0.234 0.234

***

No. 6
The following is a theoretical XRD peak list of SrPrNi2Sn4. It was derived from a crystal structure in OQMD, relaxed with PBE, using Cu Kα, 1.54184 Å.
Kinematic intensities with the Lorentz-polarization factor, no thermal factor.

Most intense lines, 10 to 90 degrees two-theta, in order of falling intensity:
2θ (°)	I_rel
31.36	100
39.51	27
39.80	27
35.05	26
31.15	19
57.33	18
44.28	15
54.06	15
66.61	12
67.01	12

Crystal structure
Unit cell a=4.562 b=9.552 c=9.552 alpha=27.43 beta=90.00 gamma=90.00
Atoms (fractional coordinates):
Sr1 0.000 0.000 0.000
Pr1 0.500 0.219 0.219
Ni1 0.000 0.789 0.789
Ni2 0.500 0.425 0.425
Sn1 0.000 0.358 0.358
Sn2 0.000 0.655 0.655
Sn3 0.500 0.562 0.562
Sn4 0.500 0.856 0.856

***

No. 7
The following is a theoretical XRD peak list of SmPb2SeO6. It was derived from a crystal structure in OQMD, relaxed with PBE, using Cu Kα, 1.54184 Å.
Kinematic intensities with the Lorentz-polarization factor, no thermal factor.

Most intense lines, 10 to 90 degrees two-theta, in order of falling intensity:
2θ (°)	I_rel
30.39	100
54.00	41
43.51	27
87.80	23
71.75	19
63.23	17
37.45	8
21.36	6
79.88	6
48.96	4

Crystal structure
Unit cell a=5.883 b=5.883 c=5.883 alpha=60.00 beta=60.00 gamma=60.00
Atoms (fractional coordinates):
Sm1 0.000 0.000 0.000
Pb1 0.250 0.250 0.250
Pb2 0.750 0.750 0.750
Se1 0.500 0.500 0.500
O1 0.269 0.269 0.731
O2 0.269 0.731 0.269
O3 0.269 0.731 0.731
O4 0.731 0.269 0.269
O5 0.731 0.269 0.731
O6 0.731 0.731 0.269

***

No. 8
The following is a theoretical XRD peak list of CsGd2CuTeS3. It was derived from a crystal structure in OQMD, relaxed with PBE, using Cu Kα, 1.54184 Å.
Kinematic intensities with the Lorentz-polarization factor, no thermal factor.

Most intense lines, 10 to 90 degrees two-theta, in order of falling intensity:
2θ (°)	I_rel
30.80	100
22.39	60
28.02	57
28.74	44
42.08	43
33.81	30
43.39	30
39.00	21
45.70	20
38.69	18

Crystal structure
Unit cell a=7.683 b=7.683 c=14.120 alpha=90.00 beta=90.00 gamma=148.50
Atoms (fractional coordinates):
Cs1 0.097 0.903 0.750
Cs2 0.903 0.097 0.250
Gd1 0.352 0.648 0.567
Gd2 0.352 0.648 0.933
Gd3 0.648 0.352 0.067
Gd4 0.648 0.352 0.433
Cu1 0.173 0.827 0.250
Cu2 0.827 0.173 0.750
Te1 0.000 0.000 0.000
Te2 0.000 0.000 0.500
S1 0.260 0.740 0.109
S2 0.260 0.740 0.391
S3 0.408 0.592 0.750
S4 0.592 0.408 0.250
S5 0.740 0.260 0.609
S6 0.740 0.260 0.891